(1)
Starting from a cell relaxed with GGA-PBE, the powder X-ray diffraction pattern of CeYIrI was calculated for copper Kα.

The 10 most intense peaks (10 to 90 degrees two-theta), low angle first:
2θ/deg  intensity
11.0  42
26.0  37
31.1  100
36.2  25
39.1  16
43.8  48
45.4  27
54.7  20
55.9  14
72.6  17

a = 8.3794 Å, b = 8.3794 Å, c = 8.3794 Å
α = 28.54°, β = 28.54°, γ = 28.54°
Positions (direct):
Ce (0.0000, 0.0000, 0.0000)
Y (0.2121, 0.2121, 0.2121)
Ir (0.6076, 0.6076, 0.6076)
I (0.4398, 0.4398, 0.4398)

***

(2)
Starting from a cell relaxed with GGA-PBE, the powder X-ray diffraction pattern of KCeI3 was calculated for copper Kα.

The 10 most intense peaks (10 to 90 degrees two-theta), low angle first:
2θ/deg  intensity
11.1  16
11.5  27
26.2  15
27.6  45
27.7  100
32.5  16
37.2  34
40.8  20
41.7  26
50.0  17

a = 8.6003 Å, b = 8.6003 Å, c = 12.5180 Å
α = 105.70°, β = 105.70°, γ = 29.78°
Positions (direct):
K (0.0548, 0.0548, 0.3724)
K (0.9452, 0.9452, 0.6276)
Ce (0.2619, 0.2619, 0.1329)
Ce (0.7381, 0.7381, 0.8671)
I (0.1075, 0.1075, 0.9097)
I (0.3481, 0.3481, 0.7773)
I (0.3846, 0.3846, 0.3868)
I (0.6154, 0.6154, 0.6132)
I (0.6519, 0.6519, 0.2227)
I (0.8925, 0.8925, 0.0903)

***

(3)
Starting from a cell relaxed with GGA-PBE, the powder X-ray diffraction pattern of K2NaCeI6 was calculated for copper Kα.

The 10 most intense peaks (10 to 90 degrees two-theta), low angle first:
2θ/deg  intensity
14.6  49
23.7  38
23.9  47
24.5  27
24.7  100
24.9  45
29.5  54
32.1  30
33.0  32
44.0  39

a = 8.2804 Å, b = 8.8744 Å, c = 14.5423 Å
α = 90.00°, β = 123.90°, γ = 90.00°
Positions (direct):
K (0.2111, 0.0902, 0.2465)
K (0.2111, 0.4098, 0.7465)
K (0.7889, 0.5902, 0.2535)
K (0.7889, 0.9098, 0.7535)
Na (0.0000, 0.0000, 0.5000)
Na (0.0000, 0.5000, 0.0000)
Ce (0.5000, 0.0000, 0.0000)
Ce (0.5000, 0.5000, 0.5000)
I (0.1312, 0.1885, 0.9405)
I (0.1312, 0.3115, 0.4405)
I (0.2584, 0.6982, 0.9388)
I (0.2584, 0.8018, 0.4388)
I (0.3755, 0.0341, 0.7529)
I (0.3755, 0.4659, 0.2529)
I (0.6245, 0.5341, 0.7471)
I (0.6245, 0.9659, 0.2471)
I (0.7416, 0.1982, 0.5612)
I (0.7416, 0.3018, 0.0612)
I (0.8688, 0.6885, 0.5595)
I (0.8688, 0.8115, 0.0595)

***

(4)
Starting from a cell relaxed with GGA-PBE, the powder X-ray diffraction pattern of La2Ce2I7 was calculated for copper Kα.

The 10 most intense peaks (10 to 90 degrees two-theta), low angle first:
2θ/deg  intensity
11.4  79
15.3  66
16.8  90
24.1  54
28.7  74
30.3  100
31.2  61
34.6  75
39.1  35
40.0  50

a = 8.2691 Å, b = 8.2691 Å, c = 8.4490 Å
α = 90.96°, β = 90.96°, γ = 109.93°
Positions (direct):
La (0.1897, 0.1897, 0.3646)
La (0.8103, 0.8103, 0.6354)
Ce (0.1407, 0.8593, 0.0000)
Ce (0.8593, 0.1407, 0.0000)
I (0.0756, 0.4823, 0.2145)
I (0.1404, 0.1404, 0.7435)
I (0.4823, 0.0756, 0.2145)
I (0.5000, 0.5000, 0.5000)
I (0.5177, 0.9244, 0.7855)
I (0.8596, 0.8596, 0.2565)
I (0.9244, 0.5177, 0.7855)

***

(5)
Starting from a cell relaxed with GGA-PBE, the powder X-ray diffraction pattern of LiCeI4 was calculated for copper Kα.

The 10 most intense peaks (10 to 90 degrees two-theta), low angle first:
2θ/deg  intensity
11.7  41
23.6  24
25.5  80
26.1  100
32.4  28
33.6  35
39.9  21
40.7  39
42.3  34
64.4  17

a = 7.5530 Å, b = 4.5141 Å, c = 7.6539 Å
α = 90.00°, β = 93.11°, γ = 90.00°
Positions (direct):
Li (0.0000, 0.0000, 0.0000)
Ce (0.0000, 0.5000, 0.5000)
I (0.2202, 0.5000, 0.1701)
I (0.2436, 0.0000, 0.6809)
I (0.7564, 0.0000, 0.3191)
I (0.7798, 0.5000, 0.8299)

***

(6)
Starting from a cell relaxed with GGA-PBE, the powder X-ray diffraction pattern of Li3Ce2I9 was calculated for copper Kα.

The 10 most intense peaks (10 to 90 degrees two-theta), low angle first:
2θ/deg  intensity
14.8  12
23.0  17
24.9  100
32.1  40
38.6  32
41.6  24
45.5  14
46.5  17
62.0  12
62.5  15

a = 8.0743 Å, b = 8.0743 Å, c = 23.1588 Å
α = 90.00°, β = 90.00°, γ = 120.00°
Positions (direct):
Li (0.0000, 0.3347, 0.2500)
Li (0.0000, 0.6653, 0.7500)
Li (0.3347, 0.0000, 0.2500)
Li (0.3347, 0.3347, 0.7500)
Li (0.6653, 0.0000, 0.7500)
Li (0.6653, 0.6653, 0.2500)
Ce (0.3333, 0.6667, 0.0000)
Ce (0.3333, 0.6667, 0.5000)
Ce (0.6667, 0.3333, 0.0000)
Ce (0.6667, 0.3333, 0.5000)
I (0.0000, 0.3319, 0.7500)
I (0.0000, 0.3598, 0.0779)
I (0.0000, 0.3598, 0.4221)
I (0.0000, 0.6402, 0.5779)
I (0.0000, 0.6402, 0.9221)
I (0.0000, 0.6681, 0.2500)
I (0.3319, 0.0000, 0.7500)
I (0.3319, 0.3319, 0.2500)
I (0.3598, 0.0000, 0.0779)
I (0.3598, 0.0000, 0.4221)
I (0.3598, 0.3598, 0.5779)
I (0.3598, 0.3598, 0.9221)
I (0.6402, 0.0000, 0.5779)
I (0.6402, 0.0000, 0.9221)
I (0.6402, 0.6402, 0.0779)
I (0.6402, 0.6402, 0.4221)
I (0.6681, 0.0000, 0.2500)
I (0.6681, 0.6681, 0.7500)

***

(7)
Starting from a cell relaxed with GGA-PBE, the powder X-ray diffraction pattern of NaLiCeI6 was calculated for copper Kα.

The 10 most intense peaks (10 to 90 degrees two-theta), low angle first:
2θ/deg  intensity
14.7  12
24.7  16
26.3  100
34.1  35
40.8  29
44.4  25
48.3  13
49.2  16
65.8  13
66.9  13

a = 7.6621 Å, b = 7.6621 Å, c = 14.4436 Å
α = 90.00°, β = 90.00°, γ = 120.00°
Positions (direct):
Na (0.0000, 0.0000, 0.0000)
Na (0.0000, 0.0000, 0.5000)
Li (0.3333, 0.6667, 0.2500)
Li (0.6667, 0.3333, 0.7500)
Ce (0.3333, 0.6667, 0.7500)
Ce (0.6667, 0.3333, 0.2500)
I (0.0013, 0.3521, 0.1299)
I (0.0013, 0.6492, 0.3701)
I (0.3508, 0.3521, 0.3701)
I (0.3508, 0.9987, 0.1299)
I (0.3521, 0.0013, 0.6299)
I (0.3521, 0.3508, 0.8701)
I (0.6479, 0.6492, 0.1299)
I (0.6479, 0.9987, 0.3701)
I (0.6492, 0.0013, 0.8701)
I (0.6492, 0.6479, 0.6299)
I (0.9987, 0.3508, 0.6299)
I (0.9987, 0.6479, 0.8701)

***

(8)
Starting from a cell relaxed with GGA-PBE, the powder X-ray diffraction pattern of LiCeTeI was calculated for copper Kα.

The 10 most intense peaks (10 to 90 degrees two-theta), low angle first:
2θ/deg  intensity
11.3  35
24.4  18
26.8  100
30.1  17
31.4  17
35.6  17
40.3  28
40.7  44
49.4  18
63.5  22

a = 15.8295 Å, b = 15.8295 Å, c = 15.8295 Å
α = 16.10°, β = 16.10°, γ = 16.10°
Positions (direct):
Li (0.1875, 0.1875, 0.1875)
Li (0.8125, 0.8125, 0.8125)
Ce (0.4177, 0.4177, 0.4177)
Ce (0.5823, 0.5823, 0.5823)
Te (0.1265, 0.1265, 0.1265)
Te (0.8735, 0.8735, 0.8735)
I (0.2914, 0.2914, 0.2914)
I (0.7086, 0.7086, 0.7086)

***

(9)
Starting from a cell relaxed with GGA-PBE, the powder X-ray diffraction pattern of CeMgTlI6 was calculated for copper Kα.

The 10 most intense peaks (10 to 90 degrees two-theta), low angle first:
2θ/deg  intensity
17.4  54
25.4  100
32.6  73
36.8  23
39.6  40
42.1  22
47.7  13
52.2  16
63.4  16
67.5  13

a = 7.8763 Å, b = 7.8763 Å, c = 15.3563 Å
α = 90.00°, β = 90.00°, γ = 120.00°
Positions (direct):
Ce (0.3333, 0.6667, 0.2500)
Ce (0.6667, 0.3333, 0.7500)
Mg (0.3333, 0.6667, 0.7500)
Mg (0.6667, 0.3333, 0.2500)
Tl (0.0000, 0.0000, 0.0000)
Tl (0.0000, 0.0000, 0.5000)
I (0.0188, 0.3744, 0.6362)
I (0.0188, 0.6444, 0.8638)
I (0.3556, 0.3744, 0.8638)
I (0.3556, 0.9812, 0.6362)
I (0.3744, 0.0188, 0.1362)
I (0.3744, 0.3556, 0.3638)
I (0.6256, 0.6444, 0.6362)
I (0.6256, 0.9812, 0.8638)
I (0.6444, 0.0188, 0.3638)
I (0.6444, 0.6256, 0.1362)
I (0.9812, 0.3556, 0.1362)
I (0.9812, 0.6256, 0.3638)

***

(10)
Starting from a cell relaxed with GGA-PBE, the powder X-ray diffraction pattern of Ce2I4N was calculated for copper Kα.

The 10 most intense peaks (10 to 90 degrees two-theta), low angle first:
2θ/deg  intensity
15.0  100
19.0  51
27.8  57
28.4  91
30.8  25
31.5  23
34.6  28
37.1  40
37.7  67
43.9  18

a = 13.2123 Å, b = 13.2123 Å, c = 3.7081 Å
α = 90.00°, β = 90.00°, γ = 90.00°
Positions (direct):
Ce (0.0865, 0.0865, 0.0000)
Ce (0.4135, 0.5865, 0.5000)
Ce (0.5865, 0.4135, 0.5000)
Ce (0.9135, 0.9135, 0.0000)
I (0.0473, 0.2725, 0.5000)
I (0.2275, 0.5473, 0.0000)
I (0.2725, 0.0473, 0.5000)
I (0.4527, 0.7725, 0.0000)
I (0.5473, 0.2275, 0.0000)
I (0.7275, 0.9527, 0.5000)
I (0.7725, 0.4527, 0.0000)
I (0.9527, 0.7275, 0.5000)
N (0.0000, 0.0000, 0.5000)
N (0.5000, 0.5000, 0.0000)

***

(11)
Starting from a cell relaxed with GGA-PBE, the powder X-ray diffraction pattern of Na2CeSnI8 was calculated for copper Kα.

The 10 most intense peaks (10 to 90 degrees two-theta), low angle first:
2θ/deg  intensity
24.4  23
24.9  100
25.3  23
25.7  39
26.9  49
32.5  50
33.8  26
38.3  26
39.9  45
44.2  25

a = 7.3252 Å, b = 9.3950 Å, c = 7.7412 Å
α = 90.00°, β = 94.24°, γ = 90.00°
Positions (direct):
Na (0.0000, 0.2444, 0.0000)
Na (0.0000, 0.7556, 0.0000)
Ce (0.5000, 0.5000, 0.5000)
Sn (0.5000, 0.0000, 0.5000)
I (0.2381, 0.0000, 0.1664)
I (0.2460, 0.5000, 0.1702)
I (0.2741, 0.2605, 0.6487)
I (0.2741, 0.7395, 0.6487)
I (0.7259, 0.2605, 0.3513)
I (0.7259, 0.7395, 0.3513)
I (0.7540, 0.5000, 0.8298)
I (0.7619, 0.0000, 0.8336)

***

(12)
Starting from a cell relaxed with GGA-PBE, the powder X-ray diffraction pattern of Ce2NdI6 was calculated for copper Kα.

The 10 most intense peaks (10 to 90 degrees two-theta), low angle first:
2θ/deg  intensity
13.7  36
23.9  16
25.8  100
33.2  77
40.1  47
43.2  25
48.3  18
53.0  22
64.9  22
68.5  18

a = 8.7118 Å, b = 8.7118 Å, c = 8.7118 Å
α = 53.16°, β = 53.16°, γ = 53.16°
Positions (direct):
Ce (0.0000, 0.0000, 0.0000)
Ce (0.1661, 0.1661, 0.1661)
Nd (0.8363, 0.8363, 0.8363)
I (0.0834, 0.7465, 0.4208)
I (0.2580, 0.5845, 0.9079)
I (0.4208, 0.0834, 0.7465)
I (0.5845, 0.9079, 0.2580)
I (0.7465, 0.4208, 0.0834)
I (0.9079, 0.2580, 0.5845)